Computed powder X-ray diffraction pattern
Compound: Li9Mn2Co5O16
Radiation: Cu Kα X-rays
Structure: a DFT-relaxed cell (GGA+U, the Materials Project)
Neutral-atom scattering factors, no anomalous dispersion.

Atomic structure:
```
Li9Mn2Co5O16
1.0
9.817 0.000 0.000
0.000 2.915 0.000
-1.739 0.000 9.940
Li Mn Co O
9 2 5 16
direct
0.000 0.000 0.000
0.242 0.500 0.115
0.244 0.000 0.879
0.249 0.000 0.374
0.252 0.500 0.624
0.748 0.500 0.376
0.751 0.000 0.626
0.756 0.000 0.121
0.758 0.500 0.885
0.003 0.500 0.755
0.997 0.500 0.245
0.000 0.000 0.500
0.498 0.000 0.250
0.500 0.500 0.000
0.500 0.500 0.500
0.502 0.000 0.750
0.106 0.000 0.681
0.106 0.500 0.438
0.110 0.000 0.199
0.118 0.500 0.918
0.383 0.500 0.311
0.384 0.000 0.060
0.384 0.000 0.560
0.387 0.500 0.809
0.613 0.500 0.191
0.616 0.000 0.440
0.616 0.000 0.940
0.617 0.500 0.689
0.882 0.500 0.082
0.890 0.000 0.801
0.894 0.000 0.319
0.894 0.500 0.562
```

Top 10 peaks for 2θ = 5–70°, low angle first:
2theta  I_rel
9.15  10
18.35  100
36.13  40
37.74  11
43.70  81
47.77  13
57.55  14
63.14  22
63.89  22
67.09  14